1.
Starting from a crystal structure in Alexandria, relaxed with PBE, the PXRD pattern of La15DyIn4 was calculated for Cu Kα (λ = 1.5418 Å).

Principal peaks in the range 2θ = 10–90°, in order of rising 2θ:
| Position (°2θ) | intensity |
| --- | --- |
| 30.38 | 100 |
| 34.88 | 17 |
| 35.39 | 33 |
| 50.54 | 23 |
| 50.92 | 12 |
| 59.77 | 14 |
| 60.45 | 28 |
| 63.20 | 12 |
| 82.30 | 11 |
| 82.90 | 6 |
| 85.34 | 5 |
| 85.64 | 5 |

Atomic structure:
```
La15DyIn4
1.0
5.0725 0.0000 0.0000
0.0000 5.0725 0.0000
0.0000 0.0000 25.7247
La Dy In
15 1 4
Direct
0.0000 0.0000 0.0000 La
0.0000 0.0000 0.2033 La
0.0000 0.0000 0.4012 La
0.0000 0.0000 0.5988 La
0.0000 0.0000 0.7967 La
0.0000 0.5000 0.1039 La
0.0000 0.5000 0.3023 La
0.0000 0.5000 0.5000 La
0.0000 0.5000 0.6977 La
0.0000 0.5000 0.8961 La
0.5000 0.0000 0.1039 La
0.5000 0.0000 0.3023 La
0.5000 0.0000 0.5000 La
0.5000 0.0000 0.6977 La
0.5000 0.0000 0.8961 La
0.5000 0.5000 0.0000 Dy
0.5000 0.5000 0.2038 In
0.5000 0.5000 0.4012 In
0.5000 0.5000 0.5988 In
0.5000 0.5000 0.7962 In
```



2.
Starting from a crystal structure in Alexandria, relaxed with PBE, the PXRD pattern of MgCo2Hg was calculated for Cu Kα (λ = 1.5418 Å).

Principal peaks in the range 2θ = 10–90°, in order of rising 2θ:
| Position (°2θ) | intensity |
| --- | --- |
| 12.84 | 66 |
| 25.84 | 22 |
| 29.75 | 32 |
| 32.52 | 45 |
| 39.81 | 100 |
| 42.58 | 49 |
| 44.65 | 14 |
| 49.96 | 14 |
| 50.48 | 15 |
| 59.24 | 16 |
| 61.79 | 16 |
| 76.06 | 29 |

Atomic structure:
```
MgCo2Hg
1.0
3.0028 0.0000 0.0000
0.0000 3.0028 0.0000
0.0000 0.0000 6.8968
Mg Co Hg
1 2 1
Direct
0.0000 0.0000 0.0000 Mg
0.0000 0.0000 0.4078 Co
0.5000 0.5000 0.2474 Co
0.5000 0.5000 0.6814 Hg
```



3.
Starting from a crystal structure in Alexandria, relaxed with PBE, the PXRD pattern of Mg8InPb3 was calculated for Cu Kα (λ = 1.5418 Å).

Principal peaks in the range 2θ = 10–90°, in order of rising 2θ:
| Position (°2θ) | intensity |
| --- | --- |
| 22.35 | 100 |
| 25.86 | 27 |
| 36.90 | 70 |
| 43.53 | 36 |
| 43.65 | 18 |
| 45.61 | 8 |
| 53.11 | 8 |
| 58.39 | 23 |
| 66.44 | 17 |
| 66.57 | 8 |
| 71.05 | 13 |
| 82.84 | 12 |

Atomic structure:
```
Mg8InPb3
1.0
-3.4489 3.4489 6.8732
3.4489 -3.4489 6.8732
3.4489 3.4489 -6.8732
Mg In Pb
8 1 3
Direct
0.1225 0.1225 0.4905 Mg
0.1225 0.6321 0.0000 Mg
0.3679 0.3679 0.4905 Mg
0.3679 0.8775 0.0000 Mg
0.6321 0.1225 0.0000 Mg
0.6321 0.6321 0.5095 Mg
0.8775 0.3679 0.0000 Mg
0.8775 0.8775 0.5095 Mg
0.0000 0.0000 0.0000 In
0.2500 0.7500 0.5000 Pb
0.5000 0.5000 0.0000 Pb
0.7500 0.2500 0.5000 Pb
```